# CdNi3N
Theoretical X-ray diffraction stick pattern, Cu Kα X-rays. Input: a crystal structure in Alexandria, relaxed with GGA-PBE.
Neutral-atom scattering factors, no anomalous dispersion.

The 10 most intense peaks (2θ from 10° to 80°), low angle first:
2theta	intensity
29.21	29
30.54	74
38.71	100
43.74	43
46.54	75
50.95	46
57.49	12
60.58	28
63.58	12
76.98	18

Atomic structure:
Cell: 10.139 10.139 10.139 Å, 90.00 90.00 90.00°
Space group Fd-3m (No. 227, origin choice 2)
Asymmetric unit:
Cd1 0.000 0.000 0.000
Ni1 0.057 0.375 0.875
N1 0.000 0.000 0.500